This entry pairs a crystal structure of Tm3Co3Si8 with its simulated powder diffraction line list. Radiation: CuKα. Structure: a DFT-relaxed cell (GGA-PBE, Alexandria).

Structure:
Unit cell a=14.641 b=4.020 c=8.277 alpha=90.00 beta=119.14 gamma=90.00
Space group C2/m (No. 12)
Asymmetric unit:
Tm: 0.000 0.000 0.000 x2
Tm: 0.207 0.500 0.661 x4
Co: 0.000 0.000 0.500 x2
Co: 0.177 0.500 0.011 x4
Si: 0.021 0.500 0.710 x4
Si: 0.112 0.000 0.385 x4
Si: 0.137 0.500 0.246 x4
Si: 0.143 0.000 0.853 x4

Largest 10 diffraction maxima, by intensity, 5 to 70 degrees two-theta:
2θ = 36.57°, intensity 100, (1 1 2)
2θ = 30.57°, intensity 88, (3 1 0)
2θ = 24.64°, intensity 60, (1 1 -1)
2θ = 45.10°, intensity 49, (0 2 0)
2θ = 37.10°, intensity 47, (6 0 -2)
2θ = 32.31°, intensity 43, (3 1 -2)
2θ = 39.73°, intensity 40, (3 1 -3)
2θ = 21.56°, intensity 38, (2 0 -2)
2θ = 37.32°, intensity 33, (0 0 3)
2θ = 38.32°, intensity 32, (5 1 -1)

=====

This entry pairs a crystal structure of Tm3Co2Si3 with its simulated powder diffraction line list. Radiation: CuKα. Structure: a DFT-relaxed cell (GGA-PBE, Alexandria).

Structure:
Unit cell a=7.639 b=13.536 c=5.482 alpha=90.00 beta=90.00 gamma=90.00
Space group Pnma (No. 62)
Asymmetric unit:
Tm: 0.043 0.112 0.125 x8
Tm: 0.190 0.250 0.627 x4
Co: 0.088 0.589 0.392 x8
Si: 0.159 0.750 0.594 x4
Si: 0.194 0.040 0.634 x8

Largest 10 diffraction maxima, by intensity, 5 to 70 degrees two-theta:
2θ = 35.44°, intensity 100, (2 4 0)
2θ = 35.42°, intensity 93, (1 1 2)
2θ = 40.27°, intensity 78, (1 3 2)
2θ = 29.25°, intensity 62, (2 1 1)
2θ = 33.25°, intensity 58, (1 4 1)
2θ = 38.98°, intensity 52, (3 0 1)
2θ = 39.18°, intensity 51, (2 4 1)
2θ = 28.15°, intensity 49, (1 3 1)
2θ = 25.57°, intensity 42, (0 3 1)
2θ = 34.79°, intensity 39, (1 0 2)